This entry pairs a crystal structure of HfAlIn3 with its computed powder XRD pattern. Radiation: Cu Kα (weighted mean of Kα1 and Kα2). Structure: the GGA-PBE geometry in OQMD.
Neutral-atom scattering factors, no anomalous dispersion.

Largest 10 diffraction maxima, by angle, 10 to 90 degrees two-theta:
| (hkl) | 2θ/deg | Rel. int. |
| --- | --- | --- |
| 2 0 0 | 25.78 | 44.4 |
| 2 1 1 | 30.02 | 61.4 |
| 2 0 2 | 30.53 | 100.0 |
| 0 0 4 | 32.49 | 58.9 |
| 2 2 0 | 36.77 | 31.6 |
| 2 1 3 | 38.04 | 32.3 |
| 2 2 2 | 40.37 | 25.8 |
| 3 1 2 | 44.59 | 30.1 |
| 2 2 4 | 49.87 | 26.3 |
| 4 0 2 | 55.74 | 34.4 |

Atomic structure:
Unit cell a=6.913 b=6.913 c=11.023 alpha=90.00 beta=90.00 gamma=90.00
Space group I4/mcm (No. 140)
Asymmetric unit:
Hf (0.000, 0.500, 0.250) x4
Al (0.000, 0.000, 0.000) x4
In (0.000, 0.000, 0.250) x4
In (0.148, 0.352, 0.000) x8

This entry pairs a crystal structure of Li2Hf2AlInNi2 with its computed powder XRD pattern. Radiation: Cu Kα (weighted mean of Kα1 and Kα2). Structure: the GGA-PBE geometry in OQMD.
Neutral-atom scattering factors, no anomalous dispersion.

Largest 10 diffraction maxima, by angle, 10 to 90 degrees two-theta:
| (hkl) | 2θ/deg | Rel. int. |
| --- | --- | --- |
| 1 0 1 | 24.86 | 35.5 |
| 0 0 2 | 28.78 | 40.7 |
| 2 0 0 | 41.16 | 100.0 |
| 2 1 1 | 48.72 | 11.9 |
| 2 0 2 | 51.00 | 11.5 |
| 2 2 0 | 59.69 | 11.0 |
| 3 0 1 | 65.60 | 7.3 |
| 2 2 2 | 67.58 | 10.1 |
| 2 0 4 | 74.92 | 10.9 |
| 3 1 2 | 75.05 | 22.0 |

Atomic structure:
Unit cell a=4.382 b=4.382 c=6.217 alpha=90.00 beta=90.00 gamma=90.00
Space group P-4m2 (No. 115)
Asymmetric unit:
Li (0.000, 0.500, 0.242) x2
Hf (0.000, 0.000, 0.000) x1
Hf (0.500, 0.500, 0.500) x1
Al (0.500, 0.500, 0.000) x1
In (0.000, 0.000, 0.500) x1
Ni (0.000, 0.500, 0.763) x2

This entry pairs a crystal structure of HfZr2Al3Ir2Pd with its computed powder XRD pattern. Radiation: Cu Kα (weighted mean of Kα1 and Kα2). Structure: the GGA-PBE geometry in OQMD.
Neutral-atom scattering factors, no anomalous dispersion.

Largest 10 diffraction maxima, by angle, 10 to 90 degrees two-theta:
| (hkl) | 2θ/deg | Rel. int. |
| --- | --- | --- |
| 0 1 1 | 14.17 | 47.6 |
| 0 0 2 | 24.68 | 66.8 |
| 1 2 0 | 29.27 | 29.2 |
| 1 3 1 | 35.76 | 100.0 |
| 1 4 0 | 38.65 | 98.6 |
| 0 3 3 | 43.42 | 34.6 |
| 0 6 0 | 43.59 | 20.9 |
| 1 4 2 | 46.37 | 34.7 |
| 2 0 0 | 52.29 | 19.8 |
| 1 7 3 | 71.19 | 18.1 |

Atomic structure:
Unit cell a=3.499 b=12.459 c=7.229 alpha=90.00 beta=90.00 gamma=90.00
Space group Amm2 (No. 38)
Asymmetric unit:
Hf (0.000, 0.000, 0.000) x2
Zr (0.000, 0.204, 0.613) x4
Al (0.500, 0.000, 0.669) x2
Al (0.500, 0.131, 0.278) x4
Ir (0.500, 0.165, 0.910) x4
Pd (0.000, 0.000, 0.406) x2

This entry pairs a crystal structure of Hf2MgAlNi4 with its computed powder XRD pattern. Radiation: Cu Kα (weighted mean of Kα1 and Kα2). Structure: the GGA-PBE geometry in OQMD.
Neutral-atom scattering factors, no anomalous dispersion.

Largest 10 diffraction maxima, by angle, 10 to 90 degrees two-theta:
| (hkl) | 2θ/deg | Rel. int. |
| --- | --- | --- |
| 0 0 2 | 22.27 | 10.4 |
| 1 0 0 | 24.89 | 47.2 |
| 1 0 1 | 27.32 | 38.4 |
| 0 1 2 | 33.64 | 20.2 |
| 1 0 3 | 42.33 | 100.0 |
| 1 1 0 | 43.83 | 71.6 |
| 0 2 3 | 62.57 | 30.5 |
| 2 1 3 | 79.51 | 30.1 |
| 3 0 0 | 80.58 | 14.7 |
| 1 1 6 | 87.12 | 13.6 |

Atomic structure:
Unit cell a=4.1306 b=4.1306 c=7.9845 alpha=90.00 beta=90.00 gamma=120.00
Space group P-3m1 (No. 164)
Asymmetric unit:
Hf (0.3333, 0.6667, 0.2459) x2
Mg (0.0000, 0.0000, 0.5000) x1
Al (0.0000, 0.0000, 0.0000) x1
Ni (0.3333, 0.6667, 0.5920) x2
Ni (0.3333, 0.6667, 0.9133) x2

This entry pairs a crystal structure of Hf2Al3Mo4N3 with its computed powder XRD pattern. Radiation: Cu Kα (weighted mean of Kα1 and Kα2). Structure: the GGA-PBE geometry in OQMD.
Neutral-atom scattering factors, no anomalous dispersion.

Largest 10 diffraction maxima, by angle, 10 to 90 degrees two-theta:
| (hkl) | 2θ/deg | Rel. int. |
| --- | --- | --- |
| 0 0 2 | 13.37 | 50.8 |
| 0 0 4 | 26.93 | 21.6 |
| 0 2 0 | 33.28 | 31.6 |
| 3 1 0 | 33.96 | 39.7 |
| 3 1 -2 | 34.03 | 16.9 |
| 3 1 2 | 39.17 | 100.0 |
| 3 1 -4 | 39.26 | 48.7 |
| 0 0 6 | 40.89 | 21.0 |
| 3 1 3 | 43.29 | 16.6 |
| 3 3 -1 | 59.41 | 20.9 |

Atomic structure:
Unit cell a=9.309 b=5.394 c=13.592 alpha=90.00 beta=103.05 gamma=90.00
Space group C2/c (No. 15)
Asymmetric unit:
Hf (0.049, 0.084, 0.390) x8
Al (0.000, 0.442, 0.750) x4
Al (0.236, 0.154, 0.749) x8
Mo (0.112, 0.433, 0.580) x8
Mo (0.215, 0.410, 0.921) x8
N (0.074, 0.223, 0.000) x8
N (0.250, 0.250, 0.500) x4

This entry pairs a crystal structure of Hf4AlN3 with its computed powder XRD pattern. Radiation: Cu Kα (weighted mean of Kα1 and Kα2). Structure: the GGA-PBE geometry in OQMD.
Neutral-atom scattering factors, no anomalous dispersion.

Largest 10 diffraction maxima, by angle, 10 to 90 degrees two-theta:
| (hkl) | 2θ/deg | Rel. int. |
| --- | --- | --- |
| 1 0 2 | 33.27 | 49.4 |
| 1 0 3 | 34.27 | 33.1 |
| 1 0 4 | 35.63 | 42.4 |
| 0 0 10 | 36.34 | 40.0 |
| 1 0 5 | 37.32 | 60.7 |
| 1 0 6 | 39.30 | 100.0 |
| 1 0 12 | 55.68 | 25.5 |
| 1 1 0 | 57.88 | 46.2 |
| 1 0 16 | 69.78 | 26.7 |
| 1 1 10 | 70.29 | 36.7 |

Atomic structure:
Unit cell a=3.1864 b=3.1864 c=24.7219 alpha=90.00 beta=90.00 gamma=120.00
Space group P6_3/mmc (No. 194)
Asymmetric unit:
Hf (0.0000, 0.0000, 0.1582) x4
Hf (0.3333, 0.6667, 0.0548) x4
Al (0.3333, 0.6667, 0.2500) x2
N (0.0000, 0.0000, 0.0000) x2
N (0.3333, 0.6667, 0.6058) x4

This entry pairs a crystal structure of Hf4AlZnN2 with its computed powder XRD pattern. Radiation: Cu Kα (weighted mean of Kα1 and Kα2). Structure: the GGA-PBE geometry in OQMD.
Neutral-atom scattering factors, no anomalous dispersion.

Largest 10 diffraction maxima, by angle, 10 to 90 degrees two-theta:
| (hkl) | 2θ/deg | Rel. int. |
| --- | --- | --- |
| 0 0 2 | 12.60 | 26.4 |
| 1 0 0 | 32.23 | 22.4 |
| 1 0 1 | 32.87 | 17.4 |
| 1 0 3 | 37.65 | 100.0 |
| 0 0 6 | 38.43 | 18.9 |
| 1 0 6 | 51.01 | 15.3 |
| 1 1 0 | 57.47 | 20.9 |
| 1 0 9 | 69.00 | 15.7 |
| 2 0 3 | 70.76 | 15.8 |
| 1 1 6 | 71.27 | 18.9 |

Atomic structure:
Unit cell a=3.2072 b=3.2072 c=14.0531 alpha=90.00 beta=90.00 gamma=120.00
Space group P-6m2 (No. 187)
Asymmetric unit:
Hf (0.0000, 0.0000, 0.1594) x2
Hf (0.6667, 0.3333, 0.3384) x2
Al (0.0000, 0.0000, 0.5000) x1
Zn (0.6667, 0.3333, 0.0000) x1
N (0.3333, 0.6667, 0.2475) x2

This entry pairs a crystal structure of Hf2ZrAl3NiPt2 with its computed powder XRD pattern. Radiation: Cu Kα (weighted mean of Kα1 and Kα2). Structure: the GGA-PBE geometry in OQMD.
Neutral-atom scattering factors, no anomalous dispersion.

Largest 10 diffraction maxima, by angle, 10 to 90 degrees two-theta:
| (hkl) | 2θ/deg | Rel. int. |
| --- | --- | --- |
| 0 2 0 | 14.41 | 47.9 |
| 0 3 1 | 25.11 | 41.2 |
| 1 0 2 | 35.91 | 100.0 |
| 1 4 0 | 38.79 | 29.7 |
| 1 2 2 | 38.91 | 48.4 |
| 0 3 3 | 44.31 | 27.3 |
| 1 5 1 | 46.80 | 18.7 |
| 2 0 0 | 51.81 | 14.7 |
| 2 3 3 | 70.49 | 14.7 |
| 1 8 2 | 72.12 | 14.0 |

Atomic structure:
Unit cell a=3.529 b=12.310 c=7.073 alpha=90.00 beta=90.00 gamma=90.00
Space group Amm2 (No. 38)
Asymmetric unit:
Hf (0.000, 0.199, 0.000) x4
Zr (0.000, 0.000, 0.596) x2
Al (0.500, 0.000, 0.952) x2
Al (0.500, 0.122, 0.321) x4
Ni (0.000, 0.000, 0.196) x2
Pt (0.500, 0.169, 0.700) x4

Which formula does entry 3 have?
HfZr2Al3Ir2Pd